The following is a theoretical X-ray diffraction stick pattern of Th5Tl2Fe2. It was derived from a DFT-relaxed cell (GGA-PBE, Alexandria), using Cu Kα X-rays.
Kinematic intensities with the Lorentz-polarization factor, no thermal factor.

The 12 most intense peaks (2θ = 10–80°), low angle first:
2θ = 25.41°, I 39
2θ = 27.30°, I 69
2θ = 30.39°, I 100
2θ = 31.54°, I 96
2θ = 33.16°, I 83
2θ = 34.90°, I 82
2θ = 35.21°, I 73
2θ = 36.82°, I 52
2θ = 39.94°, I 45
2θ = 56.30°, I 42
2θ = 58.26°, I 55
2θ = 61.65°, I 43

Atomic structure:
```
data_Th5Tl2Fe2
_chemical_formula_sum 'Th20 Tl8 Fe8'
_cell_length_a 16.6690
_cell_length_b 7.1073
_cell_length_c 8.3034
_cell_angle_alpha 90.00
_cell_angle_beta 90.00
_cell_angle_gamma 90.00
_space_group_name_H-M_alt 'C m c e'
_space_group_IT_number 64
_space_group_name_Hall '-C 2ac 2'
loop_
_atom_site_label
_atom_site_type_symbol
_atom_site_fract_x
_atom_site_fract_y
_atom_site_fract_z
Th1 Th 0.0000 0.0000 0.0000
Th2 Th 0.1083 0.1477 0.3265
Tl1 Tl 0.2203 0.0000 0.0000
Fe1 Fe 0.0000 0.1587 0.6075
```